For CsVSbF6, a GGA+U-relaxed structure gives the theoretical powder diffraction line list in this record (Cu Ka).

The 6 most intense peaks (2θ from 5° to 70°), by intensity:
d = 3.816 Å, 23.31°, rel. 1000
d = 4.043 Å, 21.99°, rel. 628
d = 3.877 Å, 22.94°, rel. 591
d = 2.999 Å, 29.79°, rel. 435
d = 3.913 Å, 22.72°, rel. 351
d = 2.985 Å, 29.94°, rel. 321

```
data_CsVSbF6
_cell_length_a 5.706
_cell_length_b 5.970
_cell_length_c 6.031
_cell_angle_alpha 90.54
_cell_angle_beta 115.75
_cell_angle_gamma 90.25
_space_group_name_H-M_alt 'P 1'
_space_group_IT_number 1
_space_group_name_Hall 'P 1'
loop_
_atom_site_label
_atom_site_type_symbol
_atom_site_fract_x
_atom_site_fract_y
_atom_site_fract_z
Cs1 Cs 0.000 0.000 0.000
V1 V 0.325 0.559 0.688
Sb1 Sb 0.660 0.486 0.306
F1 F 0.102 0.334 0.446
F2 F 0.276 0.428 0.974
F3 F 0.419 0.684 0.410
F4 F 0.452 0.832 0.866
F5 F 0.644 0.402 0.799
F6 F 0.961 0.702 0.575
```